Computed PXRD pattern
Compound: CaNiF4
Radiation: Cu Kα (weighted mean of Kα1 and Kα2)
Structure: a crystal structure in the Materials Project, relaxed with GGA+U

Peak list (10 most intense, 2θ = 10–90°, sorted by position)
- 2θ = 23.28°, rel. 11.1
- 2θ = 28.82°, rel. 100.0
- 2θ = 28.89°, rel. 33.1
- 2θ = 33.15°, rel. 9.7
- 2θ = 38.20°, rel. 13.0
- 2θ = 47.59°, rel. 28.8
- 2θ = 48.12°, rel. 33.4
- 2θ = 48.26°, rel. 33.6
- 2θ = 56.59°, rel. 26.7
- 2θ = 57.70°, rel. 12.5

Crystal structure
```
CaNiF4
1.0
3.8216 -3.8213 0.0000
3.8216 3.8213 0.0000
-3.8012 0.0000 5.2794
Ca Ni F
2 2 8
direct
0.2501 0.7499 0.0000
0.7499 0.2501 0.0000
0.0001 0.0001 0.5008
0.4995 0.4995 0.4987
0.0620 0.0620 0.2475
0.1832 0.5622 0.2471
0.3160 0.3160 0.7514
0.4363 0.8158 0.7505
0.5622 0.1832 0.2471
0.6842 0.6842 0.2513
0.8158 0.4363 0.7505
0.9391 0.9391 0.7547
```